# V2CdP2O10
Theoretical powder diffractogram, Cu Kα (weighted mean of Kα1 and Kα2). Input: a structure optimized by DFT (PBE+U).
Intensities are scaled so that the largest is 100.

Peak list (8 most intense, 10 to 90 degrees two-theta, by angle)
2θ = 21.9°, rel. 62
2θ = 26.7°, rel. 83
2θ = 29.0°, rel. 64
2θ = 31.1°, rel. 100
2θ = 36.6°, rel. 64
2θ = 41.3°, rel. 46
2θ = 47.4°, rel. 34
2θ = 52.7°, rel. 33

Structure:
a = 8.901 Å, b = 6.839 Å, c = 9.977 Å
α = 60.56°, β = 42.00°, γ = 77.44°
Element x y z (fractional)
V 0.005 0.995 0.235
V 0.015 0.485 0.245
V 0.485 0.015 0.255
V 0.995 0.005 0.765
Cd 0.388 0.388 0.612
Cd 0.638 0.638 0.862
P 0.176 0.592 0.408
P 0.426 0.842 0.658
P 0.592 0.176 0.824
P 0.842 0.426 0.074
O 0.028 0.280 0.001
O 0.049 0.215 0.282
O 0.079 0.356 0.620
O 0.215 0.049 0.453
O 0.249 0.560 0.222
O 0.280 0.028 0.690
O 0.305 0.630 0.894
O 0.356 0.079 0.945
O 0.388 0.723 0.305
O 0.453 0.772 0.514
O 0.560 0.249 0.970
O 0.630 0.305 0.171
O 0.666 0.945 0.527
O 0.723 0.388 0.584
O 0.736 0.989 0.797
O 0.772 0.453 0.261
O 0.797 0.968 0.035
O 0.945 0.666 0.862
O 0.968 0.797 0.201
O 0.989 0.736 0.478